# 1
This entry pairs a crystal structure of Sr2PrTaN4 with its computed powder XRD pattern. Radiation: CuKα. Structure: a PBE-relaxed structure.
Kinematic intensities with the Lorentz-polarization factor, no thermal factor.

The 8 most intense peaks (15° ≤ 2θ ≤ 90°), in order of rising 2θ:
2θ (°), I_rel
15.12, 292
30.51, 1000
31.33, 919
35.52, 483
36.02, 958
51.49, 644
60.89, 309
62.32, 277

Crystal structure
Lattice parameters (Å, degrees): 7.103 7.103 7.103 121.69 119.18 89.26
Sites, in units of the cell vectors:
Sr 0.000 0.000 0.000
Sr 0.500 0.000 0.000
Sr 0.500 0.000 0.500
Sr 0.500 0.500 0.500
Pr 0.000 0.500 0.500
Pr 0.500 0.500 0.000
Ta 0.000 0.000 0.500
Ta 0.000 0.500 0.000
N 0.204 0.748 0.457
N 0.209 0.252 0.957
N 0.210 0.219 0.509
N 0.210 0.701 0.991
N 0.790 0.299 0.009
N 0.790 0.781 0.491
N 0.791 0.748 0.043
N 0.796 0.252 0.543


# 2
This entry pairs a crystal structure of MoW2Se4S2 with its computed powder XRD pattern. Radiation: CuKα. Structure: a PBE-relaxed structure.
Kinematic intensities with the Lorentz-polarization factor, no thermal factor.

The 8 most intense peaks (15° ≤ 2θ ≤ 90°), in order of rising 2θ:
2θ (°), I_rel
31.51, 559
33.85, 361
35.57, 516
37.69, 1000
42.90, 518
45.91, 646
56.10, 423
57.61, 290

Crystal structure
Lattice parameters (Å, degrees): 3.279 3.279 22.025 90.00 90.00 120.00
Sites, in units of the cell vectors:
Mo 0.000 0.000 0.000
W 0.000 0.000 0.653
W 0.667 0.333 0.320
Se 0.000 0.000 0.243
Se 0.000 0.000 0.397
Se 0.667 0.333 0.576
Se 0.667 0.333 0.731
S 0.667 0.333 0.070
S 0.667 0.333 0.930


# 3
This entry pairs a crystal structure of Nd3Dy5Er2 with its computed powder XRD pattern. Radiation: CuKα. Structure: a PBE-relaxed structure.
Kinematic intensities with the Lorentz-polarization factor, no thermal factor.

The 8 most intense peaks (15° ≤ 2θ ≤ 90°), in order of rising 2θ:
2θ (°), I_rel
30.21, 379
31.60, 1000
31.70, 535
31.89, 962
37.27, 212
46.64, 194
56.43, 289
62.02, 224

Crystal structure
Lattice parameters (Å, degrees): 10.133 10.133 6.665 92.32 92.32 107.66
Sites, in units of the cell vectors:
Nd 0.035 0.965 0.750
Nd 0.126 0.624 0.878
Nd 0.376 0.874 0.622
Nd 0.624 0.126 0.378
Nd 0.874 0.376 0.122
Nd 0.965 0.035 0.250
Dy 0.215 0.289 0.002
Dy 0.225 0.527 0.377
Dy 0.289 0.215 0.502
Dy 0.465 0.535 0.750
Dy 0.473 0.775 0.123
Dy 0.527 0.225 0.877
Dy 0.535 0.465 0.250
Dy 0.711 0.785 0.498
Dy 0.775 0.473 0.623
Dy 0.785 0.711 0.998
Er 0.025 0.723 0.376
Er 0.277 0.975 0.124
Er 0.723 0.025 0.876
Er 0.975 0.277 0.624


# 4
This entry pairs a crystal structure of Bi2Sb4N3 with its computed powder XRD pattern. Radiation: CuKα. Structure: a PBE-relaxed structure.
Kinematic intensities with the Lorentz-polarization factor, no thermal factor.

The 8 most intense peaks (15° ≤ 2θ ≤ 90°), in order of rising 2θ:
2θ (°), I_rel
27.44, 252
28.33, 726
30.58, 960
30.96, 1000
46.96, 251
50.61, 190
51.59, 239
51.83, 239

Crystal structure
Lattice parameters (Å, degrees): 9.809 9.809 6.300 90.00 90.00 137.71
Sites, in units of the cell vectors:
Bi 0.006 0.286 0.000
Bi 0.286 0.006 0.500
Bi 0.714 0.994 0.500
Bi 0.994 0.714 0.000
Sb 0.219 0.632 0.500
Sb 0.244 0.325 0.500
Sb 0.325 0.244 0.000
Sb 0.368 0.781 0.000
Sb 0.632 0.219 0.000
Sb 0.675 0.756 0.000
Sb 0.756 0.675 0.500
Sb 0.781 0.368 0.500
N 0.080 0.920 0.250
N 0.080 0.920 0.750
N 0.500 0.500 0.250
N 0.500 0.500 0.750
N 0.920 0.080 0.250
N 0.920 0.080 0.750


# 5
This entry pairs a crystal structure of K4RbTl4 with its computed powder XRD pattern. Radiation: CuKα. Structure: a PBE-relaxed structure.
Kinematic intensities with the Lorentz-polarization factor, no thermal factor.

The 8 most intense peaks (15° ≤ 2θ ≤ 90°), in order of rising 2θ:
2θ (°), I_rel
17.52, 284
26.93, 1000
28.87, 403
30.68, 683
33.19, 324
35.88, 362
40.88, 267
50.87, 256

Crystal structure
Lattice parameters (Å, degrees): 7.635 7.635 13.529 90.00 90.00 90.00
Sites, in units of the cell vectors:
K 0.012 0.250 0.032
K 0.250 0.012 0.532
K 0.250 0.488 0.532
K 0.488 0.250 0.032
K 0.512 0.750 0.968
K 0.750 0.512 0.468
K 0.750 0.988 0.468
K 0.988 0.750 0.968
Rb 0.250 0.750 0.250
Rb 0.750 0.250 0.750
Tl 0.036 0.250 0.298
Tl 0.250 0.036 0.798
Tl 0.250 0.464 0.798
Tl 0.464 0.250 0.298
Tl 0.536 0.750 0.702
Tl 0.750 0.536 0.202
Tl 0.750 0.964 0.202
Tl 0.964 0.750 0.702


# 6
This entry pairs a crystal structure of KLi2Hg4 with its computed powder XRD pattern. Radiation: CuKα. Structure: a PBE-relaxed structure.
Kinematic intensities with the Lorentz-polarization factor, no thermal factor.

The 8 most intense peaks (15° ≤ 2θ ≤ 90°), in order of rising 2θ:
2θ (°), I_rel
21.88, 591
26.99, 664
28.00, 883
29.70, 366
33.28, 713
35.37, 423
35.59, 482
41.76, 1000

Crystal structure
Lattice parameters (Å, degrees): 10.714 10.714 10.714 162.03 152.76 32.83
Sites, in units of the cell vectors:
K 0.000 0.000 0.000
Li 0.304 0.804 0.500
Li 0.696 0.196 0.500
Hg 0.170 0.670 0.500
Hg 0.419 0.419 0.000
Hg 0.581 0.581 0.000
Hg 0.830 0.330 0.500


# 7
This entry pairs a crystal structure of ZnIn4As with its computed powder XRD pattern. Radiation: CuKα. Structure: a PBE-relaxed structure.
Kinematic intensities with the Lorentz-polarization factor, no thermal factor.

The 8 most intense peaks (15° ≤ 2θ ≤ 90°), in order of rising 2θ:
2θ (°), I_rel
17.77, 245
29.22, 149
34.41, 1000
35.99, 560
55.22, 331
60.60, 306
72.54, 204
86.48, 205

Crystal structure
Lattice parameters (Å, degrees): 6.112 6.112 6.112 60.00 60.00 60.00
Sites, in units of the cell vectors:
Zn 0.000 0.000 0.000
In 0.375 0.375 0.375
In 0.375 0.375 0.874
In 0.375 0.874 0.375
In 0.874 0.375 0.375
As 0.750 0.750 0.750


# 8
This entry pairs a crystal structure of CrNi6H8 with its computed powder XRD pattern. Radiation: CuKα. Structure: a PBE-relaxed structure.
Kinematic intensities with the Lorentz-polarization factor, no thermal factor.

The 8 most intense peaks (15° ≤ 2θ ≤ 90°), in order of rising 2θ:
2θ (°), I_rel
35.87, 402
35.96, 195
41.52, 1000
41.61, 496
42.34, 248
42.42, 291
42.52, 214
45.44, 279

Crystal structure
Lattice parameters (Å, degrees): 2.778 6.631 6.643 119.89 90.18 90.12
Sites, in units of the cell vectors:
Cr 0.000 0.000 0.000
Ni 0.302 0.295 0.412
Ni 0.305 0.589 0.884
Ni 0.306 0.116 0.705
Ni 0.694 0.884 0.295
Ni 0.695 0.411 0.116
Ni 0.698 0.705 0.588
H 0.197 0.348 0.958
H 0.199 0.042 0.392
H 0.201 0.608 0.650
H 0.483 0.334 0.667
H 0.517 0.666 0.333
H 0.799 0.392 0.350
H 0.801 0.958 0.608
H 0.803 0.652 0.042


# 9
This entry pairs a crystal structure of Mg5As with its computed powder XRD pattern. Radiation: CuKα. Structure: a PBE-relaxed structure.
Kinematic intensities with the Lorentz-polarization factor, no thermal factor.

The 8 most intense peaks (15° ≤ 2θ ≤ 90°), in order of rising 2θ:
2θ (°), I_rel
21.67, 162
30.95, 196
35.16, 149
36.17, 1000
37.03, 280
39.90, 251
66.17, 161
73.08, 130

Crystal structure
Lattice parameters (Å, degrees): 4.856 7.856 7.856 25.78 90.00 90.00
Sites, in units of the cell vectors:
Mg 0.000 0.000 0.000
Mg 0.000 0.320 0.320
Mg 0.500 0.125 0.125
Mg 0.500 0.451 0.451
Mg 0.500 0.788 0.788
As 0.000 0.669 0.669


# 10
This entry pairs a crystal structure of Pr4Nd5Ho with its computed powder XRD pattern. Radiation: CuKα. Structure: a PBE-relaxed structure.
Kinematic intensities with the Lorentz-polarization factor, no thermal factor.

The 8 most intense peaks (15° ≤ 2θ ≤ 90°), in order of rising 2θ:
2θ (°), I_rel
24.11, 254
30.67, 1000
30.95, 386
31.50, 685
32.05, 788
32.20, 718
33.75, 192
44.75, 280

Crystal structure
Lattice parameters (Å, degrees): 6.643 6.643 10.625 90.30 90.30 50.62
Sites, in units of the cell vectors:
Pr 0.047 0.047 0.254
Pr 0.327 0.327 0.250
Pr 0.673 0.673 0.750
Pr 0.953 0.953 0.746
Nd 0.195 0.195 0.936
Nd 0.197 0.197 0.566
Nd 0.500 0.500 0.000
Nd 0.803 0.803 0.434
Nd 0.805 0.805 0.064
Ho 0.500 0.500 0.500


# 11
This entry pairs a crystal structure of SrLi2CrN3 with its computed powder XRD pattern. Radiation: CuKα. Structure: a PBE-relaxed structure.
Kinematic intensities with the Lorentz-polarization factor, no thermal factor.

The 8 most intense peaks (15° ≤ 2θ ≤ 90°), in order of rising 2θ:
2θ (°), I_rel
16.73, 635
19.35, 579
22.85, 465
32.84, 776
34.29, 581
35.23, 1000
39.26, 407
41.75, 411

Crystal structure
Lattice parameters (Å, degrees): 7.361 10.597 9.166 90.00 90.00 90.00
Sites, in units of the cell vectors:
Sr 0.083 0.083 0.191
Sr 0.083 0.417 0.691
Sr 0.417 0.583 0.191
Sr 0.417 0.917 0.691
Sr 0.583 0.083 0.309
Sr 0.583 0.417 0.809
Sr 0.917 0.583 0.309
Sr 0.917 0.917 0.809
Li 0.095 0.720 0.615
Li 0.095 0.780 0.115
Li 0.210 0.684 0.877
Li 0.210 0.816 0.377
Li 0.290 0.184 0.877
Li 0.290 0.316 0.377
Li 0.405 0.220 0.615
Li 0.405 0.280 0.115
Li 0.595 0.720 0.885
Li 0.595 0.780 0.385
Li 0.710 0.684 0.623
Li 0.710 0.816 0.123
Li 0.790 0.184 0.623
Li 0.790 0.316 0.123
Li 0.905 0.220 0.885
Li 0.905 0.280 0.385
Cr 0.105 0.082 0.548
Cr 0.105 0.418 0.048
Cr 0.395 0.582 0.548
Cr 0.395 0.918 0.048
Cr 0.605 0.082 0.952
Cr 0.605 0.418 0.452
Cr 0.895 0.582 0.952
Cr 0.895 0.918 0.452
N 0.073 0.155 0.716
N 0.073 0.345 0.216
N 0.104 0.595 0.067
N 0.104 0.905 0.567
N 0.209 0.627 0.450
N 0.209 0.873 0.950
N 0.291 0.127 0.450
N 0.291 0.373 0.950
N 0.396 0.095 0.067
N 0.396 0.405 0.567
N 0.427 0.655 0.716
N 0.427 0.845 0.216
N 0.573 0.155 0.784
N 0.573 0.345 0.284
N 0.604 0.595 0.433
N 0.604 0.905 0.933
N 0.709 0.627 0.050
N 0.709 0.873 0.550
N 0.791 0.127 0.050
N 0.791 0.373 0.550
N 0.896 0.095 0.433
N 0.896 0.405 0.933
N 0.927 0.655 0.784
N 0.927 0.845 0.284


# 12
This entry pairs a crystal structure of As2Pb with its computed powder XRD pattern. Radiation: CuKα. Structure: a PBE-relaxed structure.
Kinematic intensities with the Lorentz-polarization factor, no thermal factor.

The 8 most intense peaks (15° ≤ 2θ ≤ 90°), in order of rising 2θ:
2θ (°), I_rel
21.95, 378
25.40, 1000
36.23, 604
42.76, 813
44.76, 201
57.25, 257
58.89, 166
69.66, 401

Crystal structure
Lattice parameters (Å, degrees): 7.014 7.014 7.014 90.00 90.00 90.00
Sites, in units of the cell vectors:
As 0.097 0.097 0.097
As 0.097 0.403 0.597
As 0.403 0.597 0.097
As 0.403 0.903 0.597
As 0.597 0.097 0.403
As 0.597 0.403 0.903
As 0.903 0.597 0.403
As 0.903 0.903 0.903
Pb 0.000 0.000 0.500
Pb 0.000 0.500 0.000
Pb 0.500 0.000 0.000
Pb 0.500 0.500 0.500